The following is a computed powder diffractogram of CuSb2S3. It was derived from DFT lattice parameters and positions (PBE), using Cu Kα X-rays.
Kinematic intensities with the Lorentz-polarization factor, no thermal factor.

Crystal structure
a b c (Å): 5.739 12.416 16.745
angles (deg): 90.00 92.81 90.00
Space group C2/c (No. 15)
Unique sites:
Cu 0.242 0.189 0.186 [8 per cell]
Sb 0.007 0.060 0.871 [8 per cell]
Sb 0.017 0.348 0.552 [8 per cell]
S 0.000 0.072 0.250 [4 per cell]
S 0.000 0.204 0.750 [4 per cell]
S 0.056 0.459 0.106 [8 per cell]
S 0.082 0.153 0.060 [8 per cell]

Top 10 peaks for 10° ≤ 2θ ≤ 90°, low angle first:
- 2θ = 17.62°, rel. 76.6
- 2θ = 23.90°, rel. 86.1
- 2θ = 25.69°, rel. 65.0
- 2θ = 28.96°, rel. 52.7
- 2θ = 29.26°, rel. 82.6
- 2θ = 30.35°, rel. 100.0
- 2θ = 30.71°, rel. 56.9
- 2θ = 31.19°, rel. 98.5
- 2θ = 33.03°, rel. 77.4
- 2θ = 40.45°, rel. 49.8